# 1
Simulated XRD peak list
Compound: Nd4MgRh4O12
Radiation: Cu Ka
Structure: a PBE-relaxed structure

Cell and atoms:
```
data_Nd4MgRh4O12
_chemical_formula_sum 'Nd4 Mg1 Rh4 O12'
_cell_length_a 5.5028
_cell_length_b 7.5409
_cell_length_c 6.4368
_cell_angle_alpha 90.00
_cell_angle_beta 93.27
_cell_angle_gamma 90.00
_symmetry_space_group_name_H-M 'P 1 m 1'
_symmetry_Int_Tables_number 6
loop_
_symmetry_equiv_pos_as_xyz
'x,y,z'
'x,-y,z'
loop_
_atom_site_label
_atom_site_fract_x
_atom_site_fract_y
_atom_site_fract_z
_atom_site_occupancy
Nd1 0.0000 0.0000 0.0000 1
Nd2 0.0784 0.5000 0.7653 1
Nd3 0.5200 0.5000 0.2559 1
Nd4 0.6159 0.0000 0.4415 1
Mg1 0.1348 0.0000 0.6072 1
Rh1 0.0640 0.2632 0.3436 1
Rh2 0.5563 0.2502 0.8560 1
O1 0.2083 0.0000 0.3179 1
O2 0.2485 0.3030 0.0260 1
O3 0.3924 0.2948 0.5422 1
O4 0.4100 0.0000 0.8039 1
O5 0.6966 0.5000 0.9127 1
O6 0.7260 0.1993 0.1637 1
O7 0.8855 0.1852 0.6840 1
O8 0.9238 0.5000 0.4031 1
```

Top 10 peaks for 2θ = 15–90°, sorted by position:
(1 1 -1), d 3.735, intensity 280
(1 1 1), d 3.577, intensity 320
(0 0 2), d 3.213, intensity 293
(0 1 2), d 2.956, intensity 419
(1 2 -1), d 2.835, intensity 1000
(1 2 1), d 2.764, intensity 999
(2 0 0), d 2.747, intensity 518
(2 1 2), d 1.963, intensity 294
(0 4 0), d 1.885, intensity 313
(2 4 0), d 1.554, intensity 225

***

# 2
Simulated XRD peak list
Compound: Nd4MgRh4O12
Radiation: Cu Ka
Structure: a PBE-relaxed structure

Cell and atoms:
```
data_Nd4MgRh4O12
_chemical_formula_sum 'Nd4 Mg1 Rh4 O12'
_cell_length_a 6.2380
_cell_length_b 7.5522
_cell_length_c 6.4718
_cell_angle_alpha 90.00
_cell_angle_beta 108.40
_cell_angle_gamma 90.00
_symmetry_space_group_name_H-M 'P 1 m 1'
_symmetry_Int_Tables_number 6
loop_
_symmetry_equiv_pos_as_xyz
'x,y,z'
'x,-y,z'
loop_
_atom_site_label
_atom_site_fract_x
_atom_site_fract_y
_atom_site_fract_z
_atom_site_occupancy
Nd1 0.0000 0.0000 0.0000 1
Nd2 0.0077 0.5000 0.2352 1
Nd3 0.5005 0.0000 0.5231 1
Nd4 0.6037 0.5000 0.6266 1
Mg1 0.3528 0.5000 0.0630 1
Rh1 0.0546 0.2399 0.5890 1
Rh2 0.5625 0.2268 0.0744 1
O1 0.1753 0.0000 0.6202 1
O2 0.2099 0.2807 0.9088 1
O3 0.4247 0.3136 0.3246 1
O4 0.4470 0.0000 0.1375 1
O5 0.6448 0.5000 0.0055 1
O6 0.6892 0.1904 0.8070 1
O7 0.9021 0.2009 0.2573 1
O8 0.9373 0.5000 0.5569 1
```

Top 10 peaks for 2θ = 15–90°, sorted by position:
(1 1 1), d 3.334, intensity 304
(0 0 2), d 3.071, intensity 404
(1 2 -1), d 3.045, intensity 1000
(2 0 0), d 2.960, intensity 510
(0 1 2), d 2.845, intensity 259
(1 2 1), d 2.649, intensity 595
(2 0 -2), d 2.575, intensity 218
(0 4 0), d 1.888, intensity 215
(3 2 -1), d 1.821, intensity 219
(2 4 0), d 1.592, intensity 150

***

# 3
Simulated XRD peak list
Compound: NdMg2TaO6
Radiation: Cu Ka
Structure: a PBE-relaxed structure

Cell and atoms:
```
data_NdMg2TaO6
_chemical_formula_sum 'Nd4 Mg8 Ta4 O24'
_cell_length_a 6.7534
_cell_length_b 7.6020
_cell_length_c 10.4826
_cell_angle_alpha 90.00
_cell_angle_beta 90.00
_cell_angle_gamma 90.00
_symmetry_space_group_name_H-M 'I m m a'
_symmetry_Int_Tables_number 74
_symmetry_space_group_name_Hall '-I 2b 2'
loop_
_atom_site_label
_atom_site_fract_x
_atom_site_fract_y
_atom_site_fract_z
_atom_site_occupancy
Nd1 0.0000 0.0000 0.0000 1
Mg1 0.2500 0.2500 0.2500 1
Mg2 0.2500 0.2500 0.7500 1
Ta1 0.0000 0.0000 0.5000 1
O1 0.0000 0.2500 0.1388 1
O2 0.0000 0.2500 0.4207 1
O3 0.2150 0.0656 0.6207 1
```

Top 10 peaks for 2θ = 15–90°, sorted by position:
(0 0 2), d 5.241, intensity 1000
(0 2 0), d 3.801, intensity 479
(2 0 0), d 3.377, intensity 259
(0 2 2), d 3.077, intensity 965
(2 0 2), d 2.839, intensity 807
(2 2 0), d 2.524, intensity 370
(2 2 2), d 2.274, intensity 423
(2 0 4), d 2.070, intensity 217
(2 2 4), d 1.818, intensity 569
(2 4 2), d 1.579, intensity 281

***

# 4
Simulated XRD peak list
Compound: Nd3Mg2Pb3
Radiation: Cu Ka
Structure: a PBE-relaxed structure

Cell and atoms:
```
data_Nd3Mg2Pb3
_chemical_formula_sum 'Nd6 Mg4 Pb6'
_cell_length_a 4.4918
_cell_length_b 4.8251
_cell_length_c 21.3113
_cell_angle_alpha 90.00
_cell_angle_beta 90.00
_cell_angle_gamma 90.00
_symmetry_space_group_name_H-M 'I m m m'
_symmetry_Int_Tables_number 71
_symmetry_space_group_name_Hall '-I 2 2'
loop_
_atom_site_label
_atom_site_fract_x
_atom_site_fract_y
_atom_site_fract_z
_atom_site_occupancy
Nd1 0.0000 0.0000 0.0000 1
Nd2 0.0000 0.5000 0.1261 1
Mg1 0.0000 0.0000 0.2499 1
Pb1 0.0000 0.0000 0.5000 1
Pb2 0.0000 0.5000 0.3524 1
```

Top 10 peaks for 2θ = 15–90°, sorted by position:
(0 0 6), d 3.552, intensity 163
(1 1 2), d 3.142, intensity 218
(1 1 4), d 2.798, intensity 1000
(0 0 8), d 2.664, intensity 152
(0 2 0), d 2.413, intensity 188
(2 0 0), d 2.246, intensity 153
(0 2 8), d 1.788, intensity 229
(2 2 0), d 1.644, intensity 117
(1 3 4), d 1.457, intensity 140
(3 1 4), d 1.381, intensity 118

***

# 5
Simulated XRD peak list
Compound: Nd5MgPb4
Radiation: Cu Ka
Structure: a PBE-relaxed structure

Cell and atoms:
```
data_Nd5MgPb4
_chemical_formula_sum 'Nd10 Mg2 Pb8'
_cell_length_a 18.2104
_cell_length_b 4.6596
_cell_length_c 7.7496
_cell_angle_alpha 90.00
_cell_angle_beta 94.70
_cell_angle_gamma 90.00
_symmetry_space_group_name_H-M 'C 1 2/m 1'
_symmetry_Int_Tables_number 12
loop_
_symmetry_equiv_pos_as_xyz
'x,y,z'
'-x,-y,-z'
'-x,y,-z'
'x,-y,z'
'x+1/2,y+1/2,z'
'-x+1/2,-y+1/2,-z'
'-x+1/2,y+1/2,-z'
'x+1/2,-y+1/2,z'
loop_
_atom_site_label
_atom_site_fract_x
_atom_site_fract_y
_atom_site_fract_z
_atom_site_occupancy
Nd1 0.0000 0.0000 0.0000 1
Nd2 0.1255 0.5000 0.6996 1
Nd3 0.2165 0.5000 0.1575 1
Mg1 0.0000 0.0000 0.5000 1
Pb1 0.0511 0.5000 0.2754 1
Pb2 0.1838 0.0000 0.4353 1
```

Top 10 peaks for 2θ = 15–90°, sorted by position:
(1 1 0), d 4.513, intensity 122
(3 1 -1), d 3.397, intensity 186
(3 1 1), d 3.268, intensity 160
(1 1 2), d 2.904, intensity 1000
(5 1 -1), d 2.743, intensity 787
(0 2 0), d 2.330, intensity 278
(6 2 1), d 1.775, intensity 144
(4 2 -3), d 1.644, intensity 153
(11 1 0), d 1.555, intensity 142
(2 2 4), d 1.452, intensity 126

***

# 6
Simulated XRD peak list
Compound: NdMg2Pb3
Radiation: Cu Ka
Structure: a PBE-relaxed structure

Cell and atoms:
```
data_NdMg2Pb3
_chemical_formula_sum 'Nd2 Mg4 Pb6'
_cell_length_a 4.9428
_cell_length_b 14.8311
_cell_length_c 4.4890
_cell_angle_alpha 90.00
_cell_angle_beta 90.00
_cell_angle_gamma 90.00
_symmetry_space_group_name_H-M 'C m m m'
_symmetry_Int_Tables_number 65
_symmetry_space_group_name_Hall '-C 2 2'
loop_
_atom_site_label
_atom_site_fract_x
_atom_site_fract_y
_atom_site_fract_z
_atom_site_occupancy
Nd1 0.0000 0.0000 0.0000 1
Mg1 0.0000 0.3276 0.0000 1
Pb1 0.0000 0.1713 0.5000 1
Pb2 0.0000 0.5000 0.5000 1
```

Top 10 peaks for 2θ = 15–90°, sorted by position:
(0 0 1), d 4.489, intensity 215
(1 3 0), d 3.495, intensity 239
(1 3 1), d 2.758, intensity 1000
(2 0 0), d 2.472, intensity 369
(0 0 2), d 2.245, intensity 142
(2 0 1), d 2.165, intensity 137
(2 6 0), d 1.748, intensity 131
(2 0 2), d 1.662, intensity 224
(3 3 1), d 1.476, intensity 301
(1 3 3), d 1.376, intensity 121

***

# 7
Simulated XRD peak list
Compound: Nd4MgPb2
Radiation: Cu Ka
Structure: a PBE-relaxed structure

Cell and atoms:
```
data_Nd4MgPb2
_chemical_formula_sum 'Nd8 Mg2 Pb4'
_cell_length_a 7.9929
_cell_length_b 6.6000
_cell_length_c 9.0207
_cell_angle_alpha 90.00
_cell_angle_beta 111.16
_cell_angle_gamma 90.00
_symmetry_space_group_name_H-M 'P 1 21/m 1'
_symmetry_Int_Tables_number 11
loop_
_symmetry_equiv_pos_as_xyz
'x,y,z'
'-x,-y,-z'
'-x,y+1/2,-z'
'x,-y+1/2,z'
loop_
_atom_site_label
_atom_site_fract_x
_atom_site_fract_y
_atom_site_fract_z
_atom_site_occupancy
Nd1 0.0026 0.2500 0.0227 1
Nd2 0.1709 0.0035 0.7181 1
Nd3 0.3289 0.7500 0.3845 1
Mg1 0.4445 0.2500 0.2074 1
Pb1 0.2263 0.2500 0.4190 1
Pb2 0.4259 0.7500 0.0673 1
```

Top 10 peaks for 2θ = 15–90°, sorted by position:
(1 1 -1), d 4.791, intensity 552
(2 0 1), d 3.026, intensity 1000
(1 0 -3), d 3.006, intensity 577
(1 2 -1), d 2.982, intensity 532
(1 1 -3), d 2.736, intensity 341
(1 2 1), d 2.717, intensity 344
(0 2 2), d 2.596, intensity 602
(3 0 -2), d 2.587, intensity 346
(2 2 -1), d 2.541, intensity 433
(3 1 -2), d 2.409, intensity 317

***

# 8
Simulated XRD peak list
Compound: Nd3Mg7Pd2
Radiation: Cu Ka
Structure: a PBE-relaxed structure

Cell and atoms:
```
data_Nd3Mg7Pd2
_chemical_formula_sum 'Nd9 Mg21 Pd6'
_cell_length_a 5.9935
_cell_length_b 5.9935
_cell_length_c 28.0021
_cell_angle_alpha 90.00
_cell_angle_beta 90.00
_cell_angle_gamma 120.00
_symmetry_space_group_name_H-M 'R -3 m'
_symmetry_Int_Tables_number 166
_symmetry_space_group_name_Hall '-R 3 2"'
loop_
_atom_site_label
_atom_site_fract_x
_atom_site_fract_y
_atom_site_fract_z
_atom_site_occupancy
Nd1 0.0000 0.0000 0.0000 1
Nd2 0.0000 0.0000 0.1473 1
Mg1 0.0000 0.0000 0.5000 1
Mg2 0.0013 0.5007 0.9255 1
Pd1 0.0000 0.0000 0.3336 1
```

Top 10 peaks for 2θ = 15–90°, sorted by position:
(0 0 6), d 4.667, intensity 392
(1 0 7), d 3.168, intensity 257
(1 1 0), d 2.997, intensity 739
(0 2 1), d 2.584, intensity 131
(1 1 6), d 2.522, intensity 1000
(3 0 0), d 1.730, intensity 147
(3 0 6), d 1.622, intensity 257
(2 0 14), d 1.584, intensity 143
(2 2 0), d 1.498, intensity 159
(1 4 6), d 1.101, intensity 147